# Pd3Se4
Theoretical powder diffraction line list, Cu Kα X-rays. Input: a structure optimized by DFT (GGA-PBE).
No peak broadening, texture or thermal motion is included.

Peak list (10 most intense, 5 to 70 degrees two-theta, in order of rising 2θ)
2θ 14.4, I = 15.5; 2θ 23.6, I = 23.7; 2θ 27.8, I = 73.9; 2θ 33.7, I = 63.1; 2θ 41.6, I = 8.6; 2θ 44.2, I = 46.1; 2θ 48.4, I = 100.0; 2θ 56.7, I = 10.2; 2θ 60.2, I = 13.8; 2θ 67.6, I = 15.1

Crystal structure
```
Pd3Se4
1.0
0.0000 5.3212 5.3212
5.3212 0.0000 5.3212
5.3212 5.3212 0.0000
Pd Se
6 8
direct
0.0000 0.0000 0.0000 Pd
0.0000 0.0000 0.5000 Pd
0.0000 0.5000 0.0000 Pd
0.3750 0.3750 0.3750 Pd
0.5000 0.0000 0.0000 Pd
0.6250 0.6250 0.6250 Pd
0.2188 0.7604 0.7604 Se
0.2396 0.2396 0.2396 Se
0.2396 0.2396 0.7812 Se
0.2396 0.7812 0.2396 Se
0.7604 0.2188 0.7604 Se
0.7604 0.7604 0.2188 Se
0.7604 0.7604 0.7604 Se
0.7812 0.2396 0.2396 Se
```

# Sr2Sn3Rh4Au
Theoretical powder diffraction line list, Cu Kα X-rays. Input: a structure optimized by DFT (GGA-PBE).
No peak broadening, texture or thermal motion is included.

Peak list (10 most intense, 5 to 70 degrees two-theta, in order of rising 2θ)
2θ 16.0, I = 25.0; 2θ 31.4, I = 42.4; 2θ 32.5, I = 100.0; 2θ 40.2, I = 68.6; 2θ 43.4, I = 52.4; 2θ 45.7, I = 21.4; 2θ 51.9, I = 20.6; 2θ 58.2, I = 23.3; 2θ 62.5, I = 16.8; 2θ 68.2, I = 25.0

Crystal structure
```
Sr2Sn3Rh4Au
1.0
4.4863 0.0000 0.0000
0.0000 4.4863 0.0000
0.0000 0.0000 11.0614
Sr Sn Rh Au
2 3 4 1
direct
0.0000 0.5000 0.2466 Sr
0.5000 0.0000 0.7534 Sr
0.0000 0.0000 0.0000 Sn
0.0000 0.5000 0.6258 Sn
0.5000 0.0000 0.3742 Sn
0.0000 0.0000 0.5000 Rh
0.0000 0.5000 0.8623 Rh
0.5000 0.0000 0.1377 Rh
0.5000 0.5000 0.5000 Rh
0.5000 0.5000 0.0000 Au
```

# Tm2ThMgAu4
Theoretical powder diffraction line list, Cu Kα X-rays. Input: a structure optimized by DFT (GGA-PBE).
No peak broadening, texture or thermal motion is included.

Peak list (10 most intense, 5 to 70 degrees two-theta, in order of rising 2θ)
2θ 21.1, I = 8.0; 2θ 25.0, I = 5.2; 2θ 27.1, I = 15.3; 2θ 34.9, I = 95.0; 2θ 36.5, I = 100.0; 2θ 50.7, I = 5.4; 2θ 51.3, I = 32.2; 2θ 61.5, I = 10.9; 2θ 64.6, I = 32.5; 2θ 65.6, I = 18.4

Crystal structure
```
Tm2ThMgAu4
1.0
2.4645 1.4229 8.5963
-2.4645 1.4229 8.5963
0.0000 -2.8458 8.5963
Tm Th Mg Au
2 1 1 4
direct
0.2406 0.2406 0.2406 Tm
0.7594 0.7594 0.7594 Tm
0.0000 0.0000 0.0000 Th
0.5000 0.5000 0.5000 Mg
0.1237 0.1237 0.1237 Au
0.3874 0.3874 0.3874 Au
0.6126 0.6126 0.6126 Au
0.8763 0.8763 0.8763 Au
```